This entry pairs a crystal structure of Ce2Al3Fe with its simulated X-ray powder pattern. Radiation: Cu Kα X-rays. Structure: a crystal structure in the Materials Project, relaxed with GGA-PBE.

Structural model:
```
data_Ce2Al3Fe
_symmetry_space_group_name_H-M 'R -3 m'
_symmetry_Int_Tables_number 166
_symmetry_space_group_name_Hall '-R 3 2"'
_cell_length_a 5.5255
_cell_length_b 5.5255
_cell_length_c 13.3587
_cell_angle_alpha 90.00
_cell_angle_beta 90.00
_cell_angle_gamma 120.00
loop_
_atom_site_label
_atom_site_type_symbol
_atom_site_fract_x
_atom_site_fract_y
_atom_site_fract_z
Ce1 Ce 0.0000 0.0000 0.1257
Al1 Al 0.0000 0.5000 0.0000
Fe1 Fe 0.0000 0.0000 0.5000
```

The 10 most intense peaks (2θ from 10° to 90°), in order of rising 2θ:
2θ (°), I (rel.)
19.71, 38.4
19.94, 33.3
32.41, 93.7
32.70, 57.4
38.21, 29.4
38.34, 100.0
38.60, 46.7
57.99, 22.7
61.78, 24.0
61.96, 22.6

***

This entry pairs a crystal structure of HgH2C6N2Cl4 with its simulated X-ray powder pattern. Radiation: Cu Kα X-rays. Structure: a crystal structure in the Materials Project, relaxed with GGA-PBE.

Structural model:
```
data_HgH2C6N2Cl4
_symmetry_space_group_name_H-M 'P 1 21/c 1'
_symmetry_Int_Tables_number 14
_symmetry_space_group_name_Hall '-P 2ybc'
_cell_length_a 6.739
_cell_length_b 13.791
_cell_length_c 16.428
_cell_angle_alpha 90.00
_cell_angle_beta 92.61
_cell_angle_gamma 90.00
loop_
_atom_site_label
_atom_site_type_symbol
_atom_site_fract_x
_atom_site_fract_y
_atom_site_fract_z
Hg1 Hg 0.095 0.246 0.415
H1 H 0.411 0.733 0.044
H2 H 0.462 0.077 0.820
C1 C 0.122 0.717 0.901
C2 C 0.136 0.747 0.480
C3 C 0.312 0.687 0.929
C4 C 0.424 0.597 0.243
C5 C 0.432 0.060 0.201
C6 C 0.459 0.503 0.215
N1 N 0.352 0.740 0.490
N2 N 0.439 0.542 0.717
Cl1 Cl 0.053 0.181 0.668
Cl2 Cl 0.159 0.079 0.395
Cl3 Cl 0.161 0.087 0.886
Cl4 Cl 0.357 0.707 0.207
```

The 10 most intense peaks (2θ from 10° to 90°), in order of rising 2θ:
2θ (°), I (rel.)
12.55, 100.0
12.84, 81.5
13.15, 41.1
16.79, 26.2
17.42, 65.5
17.86, 41.1
18.42, 49.8
24.90, 51.4
26.75, 57.7
27.27, 43.4

***

This entry pairs a crystal structure of KNa2PdF6 with its simulated X-ray powder pattern. Radiation: Cu Kα X-rays. Structure: a crystal structure in the Materials Project, relaxed with GGA-PBE.

Structural model:
```
data_KNa2PdF6
_symmetry_space_group_name_H-M 'F m -3 m'
_symmetry_Int_Tables_number 225
_symmetry_space_group_name_Hall '-F 4 2 3'
_cell_length_a 8.976
_cell_length_b 8.976
_cell_length_c 8.976
_cell_angle_alpha 90.00
_cell_angle_beta 90.00
_cell_angle_gamma 90.00
loop_
_atom_site_label
_atom_site_type_symbol
_atom_site_fract_x
_atom_site_fract_y
_atom_site_fract_z
K1 K 0.000 0.000 0.000
Na1 Na 0.250 0.250 0.250
Pd1 Pd 0.000 0.000 0.500
F1 F 0.000 0.000 0.272
```

The 10 most intense peaks (2θ from 10° to 90°), in order of rising 2θ:
2θ (°), I (rel.)
17.11, 60.1
19.78, 96.6
28.12, 100.0
33.10, 19.3
40.19, 67.9
45.18, 35.8
49.77, 37.5
58.14, 38.5
65.81, 19.1
79.99, 20.2

***

This entry pairs a crystal structure of Ba3Si3N5ClO with its simulated X-ray powder pattern. Radiation: Cu Kα X-rays. Structure: a crystal structure in the Materials Project, relaxed with GGA-PBE.

Structural model:
```
data_Ba3Si3N5ClO
_symmetry_space_group_name_H-M 'C 1 c 1'
_symmetry_Int_Tables_number 9
_symmetry_space_group_name_Hall 'C -2yc'
_cell_length_a 9.462
_cell_length_b 16.677
_cell_length_c 5.600
_cell_angle_alpha 90.00
_cell_angle_beta 92.10
_cell_angle_gamma 90.00
loop_
_atom_site_label
_atom_site_type_symbol
_atom_site_fract_x
_atom_site_fract_y
_atom_site_fract_z
Ba1 Ba 0.000 0.077 0.000
Ba2 Ba 0.053 0.402 0.485
Ba3 Ba 0.312 0.174 0.496
Si1 Si 0.150 0.266 0.001
Si2 Si 0.259 0.438 0.990
Si3 Si 0.461 0.295 0.983
N1 N 0.062 0.227 0.240
N2 N 0.123 0.368 0.976
N3 N 0.243 0.499 0.241
N4 N 0.321 0.230 0.000
N5 N 0.428 0.396 0.999
Cl1 Cl 0.285 0.001 0.767
O1 O 0.069 0.224 0.741
```

The 10 most intense peaks (2θ from 10° to 90°), in order of rising 2θ:
2θ (°), I (rel.)
18.51, 26.4
26.48, 93.2
26.66, 100.0
27.32, 89.6
28.37, 22.9
28.83, 29.6
31.99, 56.9
32.49, 32.5
37.53, 65.6
46.52, 22.5

***

This entry pairs a crystal structure of AgSe with its simulated X-ray powder pattern. Radiation: Cu Kα X-rays. Structure: a crystal structure in the Materials Project, relaxed with GGA-PBE.

Structural model:
```
data_AgSe
_symmetry_space_group_name_H-M 'F -4 3 m'
_symmetry_Int_Tables_number 216
_symmetry_space_group_name_Hall 'F -4 2 3'
_cell_length_a 5.977
_cell_length_b 5.977
_cell_length_c 5.977
_cell_angle_alpha 90.00
_cell_angle_beta 90.00
_cell_angle_gamma 90.00
loop_
_atom_site_label
_atom_site_type_symbol
_atom_site_fract_x
_atom_site_fract_y
_atom_site_fract_z
Ag1 Ag 0.000 0.000 0.000
Se1 Se 0.250 0.250 0.250
```

The 10 most intense peaks (2θ from 10° to 90°), in order of rising 2θ:
2θ (°), I (rel.)
25.82, 100.0
29.90, 2.9
42.79, 73.2
50.65, 45.1
53.08, 0.7
62.12, 11.6
68.42, 17.7
70.45, 0.8
78.37, 23.6
84.16, 13.6

***

This entry pairs a crystal structure of SrYMg6 with its simulated X-ray powder pattern. Radiation: Cu Kα X-rays. Structure: a crystal structure in the Materials Project, relaxed with GGA-PBE.

Structural model:
```
data_SrYMg6
_symmetry_space_group_name_H-M 'P 4/m m m'
_symmetry_Int_Tables_number 123
_symmetry_space_group_name_Hall '-P 4 2'
_cell_length_a 6.753
_cell_length_b 6.753
_cell_length_c 4.848
_cell_angle_alpha 90.00
_cell_angle_beta 90.00
_cell_angle_gamma 90.00
loop_
_atom_site_label
_atom_site_type_symbol
_atom_site_fract_x
_atom_site_fract_y
_atom_site_fract_z
Sr1 Sr 0.000 0.000 0.000
Y1 Y 0.500 0.500 0.000
Mg1 Mg 0.000 0.500 0.000
Mg2 Mg 0.263 0.263 0.500
```

The 10 most intense peaks (2θ from 10° to 90°), in order of rising 2θ:
2θ (°), I (rel.)
18.30, 14.9
18.58, 29.1
26.20, 25.0
26.40, 12.7
32.31, 100.0
37.09, 17.2
37.68, 32.3
53.90, 22.2
63.86, 13.2
64.65, 24.5

***

This entry pairs a crystal structure of Ti4Be with its simulated X-ray powder pattern. Radiation: Cu Kα X-rays. Structure: a crystal structure in the Materials Project, relaxed with GGA-PBE.

Structural model:
Cell lengths 8.867, 8.867, 8.867 Å; angles 90.00, 90.00, 90.00 degrees
Space group Fd-3m (No. 227, origin choice 2)
Inequivalent atoms, fractional coordinates:
Ti 0.017 0.017 0.233 x32
Be 0.125 0.125 0.625 x8

The 10 most intense peaks (2θ from 10° to 90°), in order of rising 2θ:
2θ (°), I (rel.)
17.32, 13.2
35.06, 100.0
40.70, 42.3
44.54, 12.2
53.71, 18.2
58.92, 24.3
70.44, 21.1
74.07, 5.3
76.76, 8.7
83.79, 7.7

***

This entry pairs a crystal structure of LiCu4P3O12 with its simulated X-ray powder pattern. Radiation: Cu Kα X-rays. Structure: a crystal structure in the Materials Project, relaxed with GGA-PBE.

Structural model:
```
data_LiCu4P3O12
_symmetry_space_group_name_H-M 'C 1 2/c 1'
_symmetry_Int_Tables_number 15
_symmetry_space_group_name_Hall '-C 2yc'
_cell_length_a 11.974
_cell_length_b 12.166
_cell_length_c 7.241
_cell_angle_alpha 90.00
_cell_angle_beta 119.94
_cell_angle_gamma 90.00
loop_
_atom_site_label
_atom_site_type_symbol
_atom_site_fract_x
_atom_site_fract_y
_atom_site_fract_z
Li1 Li 0.000 0.004 0.250
Cu1 Cu 0.000 0.266 0.750
Cu2 Cu 0.000 0.493 0.250
Cu3 Cu 0.221 0.160 0.645
P1 P 0.000 0.278 0.250
P2 P 0.226 0.114 0.116
O1 O 0.044 0.208 0.450
O2 O 0.099 0.369 0.258
O3 O 0.128 0.392 0.833
O4 O 0.145 0.162 0.887
O5 O 0.169 0.001 0.611
O6 O 0.225 0.185 0.292
```

The 10 most intense peaks (2θ from 10° to 90°), in order of rising 2θ:
2θ (°), I (rel.)
11.21, 30.6
14.56, 34.4
26.28, 100.0
26.80, 37.0
28.45, 37.5
31.96, 45.1
34.17, 65.7
34.58, 26.7
38.29, 26.9
55.13, 31.2